Entry 1:
This entry pairs a crystal structure of Ho5ErPd2 with its computed XRD peak list. Radiation: copper Kα. Structure: a PBE-relaxed structure.
Intensities are scaled so that the largest is 100.

Main lines, sorted by position (10° ≤ 2θ ≤ 90°):
2θ 27.7, rel. 42.9
2θ 29.5, rel. 50.2
2θ 31.5, rel. 78.5
2θ 31.7, rel. 42.5
2θ 34.8, rel. 100.0
2θ 35.1, rel. 96.5
2θ 36.9, rel. 82.7
2θ 48.6, rel. 37.5
2θ 55.8, rel. 29.8
2θ 62.6, rel. 35.8

Structural model:
```
Ho5ErPd2
1.0
1.8732 -6.5515 0.0000
1.8732 6.5515 0.0000
0.0000 0.0000 18.1852
Ho Er Pd
10 2 4
Direct
0.0537 0.9463 0.5881
0.0537 0.9463 0.9119
0.3312 0.6688 0.5546
0.3312 0.6688 0.9454
0.4406 0.5594 0.2500
0.5594 0.4406 0.7500
0.6688 0.3312 0.0546
0.6688 0.3312 0.4454
0.9463 0.0537 0.0881
0.9463 0.0537 0.4119
0.2882 0.7118 0.7500
0.7118 0.2882 0.2500
0.2883 0.7117 0.1369
0.2883 0.7117 0.3631
0.7117 0.2883 0.6369
0.7117 0.2883 0.8631
```



Entry 2:
This entry pairs a crystal structure of HoEr4Pd2 with its computed XRD peak list. Radiation: copper Kα. Structure: a PBE-relaxed structure.
Intensities are scaled so that the largest is 100.

Main lines, sorted by position (10° ≤ 2θ ≤ 90°):
2θ 30.7, rel. 63.2
2θ 31.0, rel. 68.0
2θ 31.1, rel. 58.2
2θ 31.5, rel. 62.6
2θ 33.5, rel. 50.2
2θ 34.7, rel. 100.0
2θ 35.3, rel. 37.7
2θ 36.8, rel. 53.8
2θ 37.4, rel. 73.1
2θ 46.7, rel. 37.4

Structural model:
```
HoEr4Pd2
1.0
7.7805 0.0000 0.0000
0.0000 6.3056 0.0000
-3.0924 0.0000 7.4200
Ho Er Pd
2 8 4
Direct
0.1553 0.2500 0.0254
0.8447 0.7500 0.9746
0.0209 0.2500 0.3923
0.2458 0.7500 0.3475
0.4074 0.0038 0.7708
0.4074 0.4962 0.7708
0.5926 0.5038 0.2292
0.5926 0.9962 0.2292
0.7542 0.2500 0.6525
0.9791 0.7500 0.6077
0.2377 0.7500 0.9904
0.3823 0.2500 0.4196
0.6177 0.7500 0.5804
0.7623 0.2500 0.0096
```



Entry 3:
This entry pairs a crystal structure of HoEr3Pd12 with its computed XRD peak list. Radiation: copper Kα. Structure: a PBE-relaxed structure.
Intensities are scaled so that the largest is 100.

Main lines, sorted by position (10° ≤ 2θ ≤ 90°):
2θ 21.7, rel. 2.6
2θ 30.8, rel. 3.4
2θ 38.0, rel. 100.0
2θ 43.9, rel. 16.5
2θ 44.2, rel. 32.4
2θ 64.1, rel. 21.1
2θ 64.3, rel. 10.5
2θ 76.8, rel. 12.4
2θ 77.1, rel. 24.6
2θ 81.1, rel. 10.8

Structural model:
```
HoEr3Pd12
1.0
4.0993 0.0000 0.0000
0.0000 4.0993 0.0000
0.0000 0.0000 16.4833
Ho Er Pd
1 3 12
Direct
0.0000 0.0000 0.0000
0.0000 0.0000 0.2504
0.0000 0.0000 0.5000
0.0000 0.0000 0.7496
0.0000 0.5000 0.1256
0.0000 0.5000 0.3751
0.0000 0.5000 0.6249
0.0000 0.5000 0.8744
0.5000 0.0000 0.1256
0.5000 0.0000 0.3751
0.5000 0.0000 0.6249
0.5000 0.0000 0.8744
0.5000 0.5000 0.0000
0.5000 0.5000 0.2503
0.5000 0.5000 0.5000
0.5000 0.5000 0.7497
```



Entry 4:
This entry pairs a crystal structure of PmHo5Er3 with its computed XRD peak list. Radiation: copper Kα. Structure: a PBE-relaxed structure.
Intensities are scaled so that the largest is 100.

Main lines, sorted by position (10° ≤ 2θ ≤ 90°):
2θ 31.1, rel. 10.2
2θ 31.7, rel. 100.0
2θ 32.1, rel. 99.9
2θ 45.8, rel. 34.0
2θ 52.5, rel. 9.2
2θ 57.0, rel. 33.1
2θ 57.3, rel. 16.1
2θ 62.9, rel. 30.6
2θ 67.2, rel. 9.1
2θ 81.4, rel. 8.4

Structural model:
```
PmHo5Er3
1.0
8.3600 -4.8190 0.0000
8.3600 4.8190 0.0000
0.0000 0.0000 6.9697
Pm Ho Er
2 10 6
Direct
0.1932 0.8068 0.7500
0.8068 0.1932 0.2500
0.1423 0.8577 0.2500
0.1439 0.5002 0.7500
0.1912 0.4995 0.2500
0.4995 0.1912 0.7500
0.5002 0.1439 0.2500
0.4998 0.8561 0.7500
0.5005 0.8088 0.2500
0.8088 0.5005 0.7500
0.8561 0.4998 0.2500
0.8577 0.1423 0.7500
0.1693 0.1693 0.0000
0.1693 0.1693 0.5000
0.5000 0.5000 0.0000
0.5000 0.5000 0.5000
0.8307 0.8307 0.0000
0.8307 0.8307 0.5000
```



Entry 5:
This entry pairs a crystal structure of Pm5Ho2Er12 with its computed XRD peak list. Radiation: copper Kα. Structure: a PBE-relaxed structure.
Intensities are scaled so that the largest is 100.

Main lines, sorted by position (10° ≤ 2θ ≤ 90°):
2θ 30.1, rel. 37.0
2θ 30.4, rel. 67.2
2θ 31.3, rel. 41.8
2θ 31.5, rel. 54.3
2θ 31.7, rel. 78.6
2θ 31.8, rel. 100.0
2θ 33.1, rel. 73.6
2θ 35.7, rel. 56.5
2θ 36.3, rel. 42.6
2θ 55.7, rel. 37.3

Structural model:
```
Pm5Ho2Er12
1.0
7.7510 -4.6231 0.0000
7.7510 4.6231 0.0000
-0.3249 0.0000 8.5745
Pm Ho Er
5 2 12
Direct
0.0000 0.0000 0.0000
0.2309 0.2309 0.0709
0.2935 0.2935 0.4812
0.7065 0.7065 0.5188
0.7691 0.7691 0.9291
0.3260 0.6740 0.5000
0.6740 0.3260 0.5000
0.0310 0.6731 0.2604
0.0743 0.0743 0.3752
0.1804 0.5608 0.8317
0.3269 0.9690 0.7396
0.4392 0.8196 0.1683
0.4437 0.4437 0.1653
0.5563 0.5563 0.8347
0.5608 0.1804 0.8317
0.6731 0.0310 0.2604
0.8196 0.4392 0.1683
0.9257 0.9257 0.6248
0.9690 0.3269 0.7396
```



Entry 6:
This entry pairs a crystal structure of PmHo5Er with its computed XRD peak list. Radiation: copper Kα. Structure: a PBE-relaxed structure.
Intensities are scaled so that the largest is 100.

Main lines, sorted by position (10° ≤ 2θ ≤ 90°):
2θ 29.2, rel. 17.6
2θ 31.8, rel. 47.8
2θ 32.2, rel. 100.0
2θ 32.4, rel. 13.4
2θ 32.7, rel. 72.9
2θ 32.9, rel. 43.6
2θ 46.5, rel. 14.2
2θ 56.9, rel. 14.1
2θ 57.6, rel. 16.6
2θ 57.9, rel. 16.3

Structural model:
```
PmHo5Er
1.0
4.3532 -4.8010 0.0000
4.3532 4.8010 0.0000
-3.9297 0.0000 10.7024
Pm Ho Er
2 10 2
Direct
0.0000 0.5000 0.0000
0.5000 0.0000 0.5000
0.0680 0.2725 0.5353
0.0853 0.9147 0.2500
0.2725 0.0680 0.0353
0.3032 0.4472 0.3334
0.4472 0.3032 0.8334
0.5528 0.6968 0.1666
0.6968 0.5528 0.6666
0.7275 0.9320 0.9647
0.9147 0.0853 0.7500
0.9320 0.7275 0.4647
0.2591 0.7409 0.7500
0.7409 0.2591 0.2500
```



Entry 7:
This entry pairs a crystal structure of Pm5Ho5Er with its computed XRD peak list. Radiation: copper Kα. Structure: a PBE-relaxed structure.
Intensities are scaled so that the largest is 100.

Main lines, sorted by position (10° ≤ 2θ ≤ 90°):
2θ 28.8, rel. 100.0
2θ 29.2, rel. 89.3
2θ 30.3, rel. 32.0
2θ 33.2, rel. 21.1
2θ 34.8, rel. 28.7
2θ 35.6, rel. 28.0
2θ 37.7, rel. 20.1
2θ 46.7, rel. 21.3
2θ 51.6, rel. 38.1
2θ 60.6, rel. 26.4

Structural model:
```
Pm5Ho5Er
1.0
6.1100 0.0000 0.0000
-3.0550 5.2914 0.0000
0.0000 0.0000 11.4697
Pm Ho Er
5 5 1
Direct
0.0000 0.0000 0.2380
0.0000 0.0000 0.7620
0.3398 0.1699 0.0000
0.8301 0.1699 0.0000
0.8301 0.6602 0.0000
0.0000 0.0000 0.5000
0.3333 0.6667 0.1834
0.3333 0.6667 0.8166
0.6667 0.3333 0.3423
0.6667 0.3333 0.6577
0.3333 0.6667 0.5000
```



Entry 8:
This entry pairs a crystal structure of Pm7HoEr2 with its computed XRD peak list. Radiation: copper Kα. Structure: a PBE-relaxed structure.
Intensities are scaled so that the largest is 100.

Main lines, sorted by position (10° ≤ 2θ ≤ 90°):
2θ 15.8, rel. 43.5
2θ 19.5, rel. 21.3
2θ 20.2, rel. 21.6
2θ 26.8, rel. 26.1
2θ 29.7, rel. 50.7
2θ 31.9, rel. 49.6
2θ 33.1, rel. 100.0
2θ 34.9, rel. 54.7
2θ 44.1, rel. 34.6
2θ 61.9, rel. 45.5

Structural model:
```
Pm7HoEr2
1.0
4.4033 -8.2611 0.0000
4.4033 8.2611 0.0000
0.0000 0.0000 5.6053
Pm Ho Er
7 1 2
Direct
0.0000 0.0000 0.0000
0.2088 0.4342 0.0000
0.2848 0.7152 0.5000
0.4342 0.2088 0.0000
0.5658 0.7912 0.0000
0.7152 0.2848 0.5000
0.7912 0.5658 0.0000
0.5000 0.5000 0.5000
0.2051 0.7949 0.0000
0.7949 0.2051 0.0000
```



Entry 9:
This entry pairs a crystal structure of Pm6HoEr6 with its computed XRD peak list. Radiation: copper Kα. Structure: a PBE-relaxed structure.
Intensities are scaled so that the largest is 100.

Main lines, sorted by position (10° ≤ 2θ ≤ 90°):
2θ 29.0, rel. 100.0
2θ 29.9, rel. 42.3
2θ 30.0, rel. 75.6
2θ 32.2, rel. 49.7
2θ 32.3, rel. 35.0
2θ 34.1, rel. 50.2
2θ 34.2, rel. 71.1
2θ 35.1, rel. 38.6
2θ 36.2, rel. 44.1
2θ 56.2, rel. 31.5

Structural model:
```
Pm6HoEr6
1.0
6.5693 0.0000 0.0000
0.0000 11.0801 0.0000
-2.8083 0.0000 5.9832
Pm Ho Er
6 1 6
Direct
0.0000 0.1725 0.0000
0.0000 0.8275 0.0000
0.2709 0.0000 0.7442
0.3268 0.5000 0.6080
0.6732 0.5000 0.3920
0.7291 0.0000 0.2558
0.0000 0.5000 0.0000
0.0000 0.2663 0.5000
0.0000 0.7337 0.5000
0.5000 0.1972 0.5000
0.5000 0.2866 0.0000
0.5000 0.7134 0.0000
0.5000 0.8028 0.5000
```



Entry 10:
This entry pairs a crystal structure of PmHo9Er2 with its computed XRD peak list. Radiation: copper Kα. Structure: a PBE-relaxed structure.
Intensities are scaled so that the largest is 100.

Main lines, sorted by position (10° ≤ 2θ ≤ 90°):
2θ 30.2, rel. 25.9
2θ 31.6, rel. 52.8
2θ 32.1, rel. 100.0
2θ 35.6, rel. 21.3
2θ 38.0, rel. 15.4
2θ 45.7, rel. 17.8
2θ 56.9, rel. 18.0
2θ 57.2, rel. 17.2
2θ 62.8, rel. 29.4
2θ 81.3, rel. 12.6

Structural model:
```
PmHo9Er2
1.0
11.1600 0.0000 0.0000
-5.5800 9.6649 0.0000
0.0000 0.0000 3.4913
Pm Ho Er
1 9 2
Direct
0.0000 0.0000 0.0000
0.0000 0.5000 0.0000
0.1781 0.3562 0.5000
0.1781 0.8219 0.5000
0.3562 0.1781 0.5000
0.5000 0.0000 0.0000
0.5000 0.5000 0.0000
0.6438 0.8219 0.5000
0.8219 0.1781 0.5000
0.8219 0.6438 0.5000
0.3333 0.6667 0.0000
0.6667 0.3333 0.0000
```



Entry 11:
This entry pairs a crystal structure of Pm4Ho5Er3 with its computed XRD peak list. Radiation: copper Kα. Structure: a PBE-relaxed structure.
Intensities are scaled so that the largest is 100.

Main lines, sorted by position (10° ≤ 2θ ≤ 90°):
2θ 28.8, rel. 26.2
2θ 29.5, rel. 29.3
2θ 30.3, rel. 100.0
2θ 31.3, rel. 42.0
2θ 31.9, rel. 52.0
2θ 32.6, rel. 75.1
2θ 32.8, rel. 29.7
2θ 33.6, rel. 65.4
2θ 44.1, rel. 32.8
2θ 60.3, rel. 26.3

Structural model:
```
Pm4Ho5Er3
1.0
8.0260 -2.9483 0.0000
8.0260 2.9483 0.0000
-4.1881 0.0000 8.3384
Pm Ho Er
4 5 3
Direct
0.0837 0.0837 0.4453
0.2160 0.2160 0.8814
0.7840 0.7840 0.1186
0.9163 0.9163 0.5547
0.0000 0.0000 0.0000
0.3286 0.3286 0.6161
0.4289 0.4289 0.2977
0.5711 0.5711 0.7023
0.6714 0.6714 0.3839
0.2119 0.2119 0.2358
0.5000 0.5000 0.0000
0.7881 0.7881 0.7642
```



Entry 12:
This entry pairs a crystal structure of Pm12Ho7Er with its computed XRD peak list. Radiation: copper Kα. Structure: a PBE-relaxed structure.
Intensities are scaled so that the largest is 100.

Main lines, sorted by position (10° ≤ 2θ ≤ 90°):
2θ 28.2, rel. 20.8
2θ 29.5, rel. 29.0
2θ 30.6, rel. 39.0
2θ 31.1, rel. 100.0
2θ 31.9, rel. 46.7
2θ 32.7, rel. 63.1
2θ 33.0, rel. 18.4
2θ 37.2, rel. 15.6
2θ 54.3, rel. 15.0
2θ 54.4, rel. 20.8

Structural model:
```
Pm12Ho7Er
1.0
6.0815 3.5111 5.2739
-6.0815 3.5111 5.2739
0.0000 -7.0223 5.2739
Pm Ho Er
12 7 1
Direct
0.0096 0.3620 0.8871
0.1129 0.9904 0.6380
0.2273 0.7556 0.3505
0.2444 0.6495 0.7727
0.3505 0.2273 0.7556
0.3620 0.8871 0.0096
0.6380 0.1129 0.9904
0.6495 0.7727 0.2444
0.7556 0.3505 0.2273
0.7727 0.2444 0.6495
0.8871 0.0096 0.3620
0.9904 0.6380 0.1129
0.0000 0.0000 0.0000
0.1094 0.3515 0.4304
0.3515 0.4304 0.1094
0.4303 0.1094 0.3515
0.5697 0.8906 0.6485
0.6485 0.5697 0.8906
0.8906 0.6485 0.5697
0.5000 0.5000 0.5000
```



> Number 9 is which compound?

Pm6HoEr6